1.
For MnTe3, a structure optimized by DFT (GGA-PBE) gives the simulated powder X-ray diffraction pattern in this record (Cu Kα (λ = 1.5418 Å)).

The 10 most intense peaks (10 to 80 degrees two-theta), by angle:
| two_theta | Rel. int. | hkl |
| --- | --- | --- |
| 14.92 | 186 | 0 2 0 |
| 26.91 | 1000 | 0 3 1 |
| 28.29 | 347 | 1 1 0 |
| 29.50 | 420 | 0 0 2 |
| 34.63 | 519 | 1 2 1 |
| 41.33 | 491 | 1 1 2 |
| 43.81 | 578 | 1 4 1 |
| 50.77 | 260 | 0 3 3 |
| 63.41 | 176 | 2 3 1 |
| 69.75 | 175 | 1 7 2 |

```
data_MnTe3
_symmetry_space_group_name_H-M 'I m m 2'
_symmetry_Int_Tables_number 44
_cell_length_a 3.272
_cell_length_b 11.872
_cell_length_c 6.056
_cell_angle_alpha 90.00
_cell_angle_beta 90.00
_cell_angle_gamma 90.00
loop_
_symmetry_equiv_pos_as_xyz
'x,y,z'
'-x,-y,z'
'-x,y,z'
'x,-y,z'
'x+1/2,y+1/2,z+1/2'
'-x+1/2,-y+1/2,z+1/2'
'-x+1/2,y+1/2,z+1/2'
'x+1/2,-y+1/2,z+1/2'
loop_
_atom_site_label
_atom_site_fract_x
_atom_site_fract_y
_atom_site_fract_z
Mn1 0.000 0.000 0.000
Te1 0.000 0.349 0.330
Te2 0.000 0.500 0.844
```

2.
For Ce7HoPb4, a structure optimized by DFT (GGA-PBE) gives the simulated powder X-ray diffraction pattern in this record (Cu Kα (λ = 1.5418 Å)).

The 10 most intense peaks (10 to 80 degrees two-theta), by angle:
| two_theta | Rel. int. | hkl |
| --- | --- | --- |
| 23.12 | 109 | 2 0 -3 |
| 29.77 | 1000 | 0 2 0 |
| 30.20 | 204 | 2 0 2 |
| 34.91 | 482 | 3 1 -4 |
| 35.49 | 327 | 1 1 3 |
| 42.61 | 341 | 4 2 -1 |
| 42.88 | 159 | 2 2 2 |
| 55.87 | 114 | 7 1 -5 |
| 56.16 | 124 | 3 3 -4 |
| 66.37 | 129 | 2 2 -7 |

```
data_Ce7HoPb4
_symmetry_space_group_name_H-M 'C 1 2/m 1'
_symmetry_Int_Tables_number 12
_cell_length_a 12.477
_cell_length_b 6.011
_cell_length_c 11.626
_cell_angle_alpha 90.00
_cell_angle_beta 121.07
_cell_angle_gamma 90.00
loop_
_symmetry_equiv_pos_as_xyz
'x,y,z'
'-x,-y,-z'
'-x,y,-z'
'x,-y,z'
'x+1/2,y+1/2,z'
'-x+1/2,-y+1/2,-z'
'-x+1/2,y+1/2,-z'
'x+1/2,-y+1/2,z'
loop_
_atom_site_label
_atom_site_fract_x
_atom_site_fract_y
_atom_site_fract_z
Ce1 0.000 0.000 0.000
Ce2 0.096 0.500 0.440
Ce3 0.183 0.000 0.652
Ce4 0.192 0.000 0.894
Ho1 0.000 0.500 0.000
Pb1 0.104 0.000 0.328
Pb2 0.192 0.500 0.782
```